For Mg6CoSnO8, a structure optimized by DFT (PBE+U) gives the theoretical powder XRD pattern in this record (Cu Ka).
Lines closer than 0.1° are merged.

Largest 8 diffraction maxima, by angle, 10 to 90 degrees two-theta:
two_theta, I/Imax, (hkl)
20.0, 26.6, 0 0 2
30.7, 36.9, 1 1 1
35.5, 60.6, 1 1 2
40.7, 51.0, 0 0 4
41.4, 100.0, 2 0 0
59.5, 59.8, 2 0 4
60.0, 29.9, 2 2 0
75.1, 29.7, 2 2 4

Cell and atoms:
Unit cell a=4.359 b=4.359 c=8.862 alpha=90.00 beta=90.00 gamma=90.00
Element x y z (fractional)
Mg: 0.000 0.000 0.000
Mg: 0.000 0.500 0.240
Mg: 0.000 0.500 0.760
Mg: 0.500 0.000 0.240
Mg: 0.500 0.000 0.760
Mg: 0.500 0.500 0.000
Co: 0.000 0.000 0.500
Sn: 0.500 0.500 0.500
O: 0.000 0.000 0.235
O: 0.000 0.000 0.765
O: 0.000 0.500 0.000
O: 0.000 0.500 0.500
O: 0.500 0.000 0.000
O: 0.500 0.000 0.500
O: 0.500 0.500 0.237
O: 0.500 0.500 0.763